No. 1
For La3Tb8Er4, a PBE-relaxed structure gives the calculated powder XRD pattern in this record (a wavelength of 1.5418 Å).

Structural model:
```
La3Tb8Er4
1.0
6.7306 -6.4100 0.0000
6.7306 6.4100 0.0000
-3.4054 0.0000 5.8769
La Tb Er
3 8 4
direct
0.0000 0.0000 0.0000
0.0000 0.5000 0.5000
0.5000 0.0000 0.5000
0.1432 0.8568 0.5000
0.2293 0.2293 0.5113
0.2444 0.2444 0.0000
0.2473 0.7527 0.0000
0.7527 0.2473 0.0000
0.7556 0.7556 0.0000
0.7707 0.7707 0.4887
0.8568 0.1432 0.5000
0.0000 0.5000 0.0000
0.5000 0.0000 0.0000
0.5000 0.5000 0.0000
0.5000 0.5000 0.5000
```

Principal peaks in the range 5 to 70 degrees two-theta, in order of falling intensity:
2.938 Å, intensity 100
2.912 Å, intensity 94
2.929 Å, intensity 94
2.164 Å, intensity 90
3.205 Å, intensity 70
2.811 Å, intensity 52
2.155 Å, intensity 44
2.322 Å, intensity 22
1.698 Å, intensity 19
1.688 Å, intensity 19

No. 2
For In12Hg7Bi2, a PBE-relaxed structure gives the calculated powder XRD pattern in this record (a wavelength of 1.5418 Å).

Structural model:
```
In12Hg7Bi2
1.0
14.3337 0.0000 0.0000
-7.1668 12.4133 0.0000
0.0000 0.0000 3.2708
In Hg Bi
12 7 2
direct
0.0422 0.8142 0.0000
0.1449 0.4399 0.5000
0.1858 0.2280 0.0000
0.2950 0.8551 0.5000
0.4193 0.2608 0.5000
0.4965 0.0920 0.0000
0.5601 0.7050 0.5000
0.5954 0.5035 0.0000
0.7392 0.1584 0.5000
0.7720 0.9578 0.0000
0.8416 0.5807 0.5000
0.9080 0.4046 0.0000
0.0860 0.6292 0.5000
0.2498 0.0391 0.0000
0.3708 0.4567 0.5000
0.5433 0.9140 0.5000
0.6667 0.3333 0.5000
0.7893 0.7502 0.0000
0.9609 0.2107 0.0000
0.0000 0.0000 0.5000
0.3333 0.6667 0.0000
```

Principal peaks in the range 5 to 70 degrees two-theta, in order of falling intensity:
2.709 Å, intensity 100
2.683 Å, intensity 70
1.400 Å, intensity 26
1.559 Å, intensity 18
1.906 Å, intensity 17
2.148 Å, intensity 15
1.564 Å, intensity 15
2.976 Å, intensity 10
4.692 Å, intensity 10
1.638 Å, intensity 10

No. 3
For ErPb3, a PBE-relaxed structure gives the calculated powder XRD pattern in this record (a wavelength of 1.5418 Å).

Structural model:
```
ErPb3
1.0
4.8662 0.0000 0.0000
0.0000 4.8662 0.0000
0.0000 0.0000 4.8746
Er Pb
1 3
direct
0.0000 0.0000 0.0000
0.0000 0.5000 0.5000
0.5000 0.0000 0.5000
0.5000 0.5000 0.0000
```

Principal peaks in the range 5 to 70 degrees two-theta, in order of falling intensity:
2.811 Å, intensity 100
2.434 Å, intensity 51
1.468 Å, intensity 43
1.721 Å, intensity 36
1.406 Å, intensity 13
4.869 Å, intensity 1
3.443 Å, intensity 1

No. 4
For K2ZnAg, a PBE-relaxed structure gives the calculated powder XRD pattern in this record (a wavelength of 1.5418 Å).

Structural model:
```
K2ZnAg
1.0
7.9772 0.0000 0.0000
0.0000 4.6106 0.0000
-2.6891 0.0000 8.7941
K Zn Ag
4 2 2
direct
0.0000 0.0000 0.0000
0.1805 0.0000 0.5369
0.5000 0.5000 0.0000
0.6805 0.5000 0.5369
0.4237 0.0000 0.2689
0.9237 0.5000 0.2689
0.2571 0.5000 0.2687
0.7571 0.0000 0.2687
```

Principal peaks in the range 5 to 70 degrees two-theta, in order of falling intensity:
8.794 Å, intensity 100
3.183 Å, intensity 29
2.304 Å, intensity 27
3.414 Å, intensity 25
2.229 Å, intensity 21
2.740 Å, intensity 15
2.931 Å, intensity 11
1.813 Å, intensity 11
1.592 Å, intensity 10
4.397 Å, intensity 7

No. 5
For LaTaNiOs2, a PBE-relaxed structure gives the calculated powder XRD pattern in this record (a wavelength of 1.5418 Å).

Structural model:
```
LaTaNiOs2
1.0
4.8340 0.0000 0.0000
0.0000 4.8340 0.0000
0.0000 0.0000 4.6527
La Ta Ni Os
1 1 1 2
direct
0.0000 0.0000 0.0000
0.5000 0.5000 0.5000
0.5000 0.5000 0.0000
0.0000 0.5000 0.5000
0.5000 0.0000 0.5000
```

Principal peaks in the range 5 to 70 degrees two-theta, in order of falling intensity:
2.417 Å, intensity 100
2.755 Å, intensity 80
1.676 Å, intensity 66
4.653 Å, intensity 56
3.352 Å, intensity 53
2.326 Å, intensity 45
1.709 Å, intensity 35
1.377 Å, intensity 34
2.145 Å, intensity 31
1.961 Å, intensity 24

No. 6
For NaLiPu2O8, a PBE-relaxed structure gives the calculated powder XRD pattern in this record (a wavelength of 1.5418 Å).

Structural model:
```
NaLiPu2O8
1.0
5.7645 0.0000 0.0000
-2.8822 4.9922 0.0000
0.0000 0.0000 5.9563
Na Li Pu O
1 1 2 8
direct
0.0000 0.0000 0.0000
0.0000 0.0000 0.5000
0.3333 0.6667 0.4293
0.6667 0.3333 0.5707
0.0581 0.3697 0.6446
0.3115 0.9419 0.6446
0.3333 0.6667 0.1190
0.3697 0.3115 0.3554
0.6303 0.6885 0.6446
0.6667 0.3333 0.8810
0.6885 0.0581 0.3554
0.9419 0.6303 0.3554
```

Principal peaks in the range 5 to 70 degrees two-theta, in order of falling intensity:
5.956 Å, intensity 100
3.826 Å, intensity 88
2.882 Å, intensity 63
4.992 Å, intensity 52
2.594 Å, intensity 51
2.558 Å, intensity 33
2.302 Å, intensity 28
1.845 Å, intensity 26
2.071 Å, intensity 25
1.799 Å, intensity 24

No. 7
For CuRe8, a PBE-relaxed structure gives the calculated powder XRD pattern in this record (a wavelength of 1.5418 Å).

Structural model:
```
CuRe8
1.0
-4.1192 4.1192 1.9628
4.1192 -4.1192 1.9628
4.1192 4.1192 -1.9628
Cu Re
1 8
direct
0.0000 0.0000 0.0000
0.0000 0.3340 0.3340
0.0000 0.6660 0.6660
0.3331 0.3331 0.6662
0.3331 0.6669 0.0000
0.3340 0.0000 0.3340
0.6660 0.0000 0.6660
0.6669 0.3331 0.0000
0.6669 0.6669 0.3338
```

Principal peaks in the range 5 to 70 degrees two-theta, in order of falling intensity:
2.250 Å, intensity 100
1.942 Å, intensity 32
1.380 Å, intensity 21
1.963 Å, intensity 17
1.373 Å, intensity 10
5.825 Å, intensity 3
3.544 Å, intensity 2
2.686 Å, intensity 2
4.119 Å, intensity 1
2.605 Å, intensity 1

No. 8
For ErTcBiO6, a PBE-relaxed structure gives the calculated powder XRD pattern in this record (a wavelength of 1.5418 Å).

Structural model:
```
ErTcBiO6
1.0
5.4947 0.0000 0.0000
-2.7474 4.7586 0.0000
0.0000 0.0000 4.8749
Er Tc Bi O
1 1 1 6
direct
0.0000 0.0000 0.0000
0.3333 0.6667 0.0000
0.6667 0.3333 0.5000
0.0439 0.3705 0.2250
0.0439 0.6734 0.7750
0.3266 0.3705 0.7750
0.3266 0.9561 0.2250
0.6295 0.6734 0.2250
0.6295 0.9561 0.7750
```

Principal peaks in the range 5 to 70 degrees two-theta, in order of falling intensity:
3.405 Å, intensity 100
2.747 Å, intensity 43
1.823 Å, intensity 38
2.138 Å, intensity 28
1.687 Å, intensity 27
1.586 Å, intensity 13
1.538 Å, intensity 10
2.437 Å, intensity 8
1.374 Å, intensity 6
4.759 Å, intensity 5

No. 9
For La5NdSm4, a PBE-relaxed structure gives the calculated powder XRD pattern in this record (a wavelength of 1.5418 Å).

Structural model:
```
La5NdSm4
1.0
3.6728 0.0000 0.0000
1.8282 8.8037 0.0000
0.0010 0.9378 11.3324
La Nd Sm
5 1 4
direct
0.0000 0.0000 0.0000
0.1393 0.7176 0.2640
0.1998 0.6005 0.8713
0.8002 0.3995 0.1287
0.8607 0.2824 0.7360
0.0000 0.0000 0.5000
0.3255 0.3517 0.4392
0.4617 0.0762 0.2470
0.5383 0.9238 0.7530
0.6745 0.6483 0.5608
```

Principal peaks in the range 5 to 70 degrees two-theta, in order of falling intensity:
2.778 Å, intensity 100
2.966 Å, intensity 57
3.013 Å, intensity 52
2.678 Å, intensity 38
2.764 Å, intensity 38
2.890 Å, intensity 36
2.925 Å, intensity 28
2.752 Å, intensity 27
3.370 Å, intensity 24
1.684 Å, intensity 23

No. 10
For Tl3In8Ga3, a PBE-relaxed structure gives the calculated powder XRD pattern in this record (a wavelength of 1.5418 Å).

Structural model:
```
Tl3In8Ga3
1.0
-2.3891 5.9241 6.6206
2.3891 -5.9241 6.6206
2.3891 5.9241 -6.6206
Tl In Ga
3 8 3
direct
0.0000 0.0000 0.0000
0.2742 0.2742 0.0000
0.7258 0.7258 0.0000
0.0185 0.3777 0.6408
0.1581 0.8524 0.3057
0.2631 0.6223 0.6408
0.4532 0.1476 0.3057
0.5468 0.8524 0.6943
0.7369 0.3777 0.3592
0.8419 0.1476 0.6943
0.9815 0.6223 0.3592
0.3691 0.5000 0.8691
0.5000 0.0000 0.5000
0.6309 0.5000 0.1309
```

Principal peaks in the range 5 to 70 degrees two-theta, in order of falling intensity:
3.044 Å, intensity 100
2.652 Å, intensity 88
2.844 Å, intensity 59
2.890 Å, intensity 56
2.389 Å, intensity 52
2.473 Å, intensity 39
1.841 Å, intensity 30
2.766 Å, intensity 23
2.207 Å, intensity 21
1.512 Å, intensity 20

No. 11
For Na2SrPuF8, a PBE-relaxed structure gives the calculated powder XRD pattern in this record (a wavelength of 1.5418 Å).

Structural model:
```
Na2SrPuF8
1.0
3.9851 0.0000 0.0000
0.0000 7.9817 0.0000
-0.0135 0.0000 5.6788
Na Sr Pu F
2 1 1 8
direct
0.0000 0.2312 0.0000
0.0000 0.7688 0.0000
0.5000 0.0000 0.5000
0.5000 0.5000 0.5000
0.0011 0.0000 0.7507
0.0009 0.5000 0.7206
0.4990 0.2805 0.2634
0.4990 0.7195 0.2634
0.5010 0.2805 0.7366
0.5010 0.7195 0.7366
0.9989 0.0000 0.2493
0.9991 0.5000 0.2794
```

Principal peaks in the range 5 to 70 degrees two-theta, in order of falling intensity:
3.264 Å, intensity 100
5.679 Å, intensity 55
2.001 Å, intensity 48
3.988 Å, intensity 45
7.982 Å, intensity 32
1.702 Å, intensity 30
2.526 Å, intensity 25
1.994 Å, intensity 24
2.313 Å, intensity 21
4.627 Å, intensity 21

No. 12
For LaAs2IrO8, a PBE-relaxed structure gives the calculated powder XRD pattern in this record (a wavelength of 1.5418 Å).

Structural model:
```
LaAs2IrO8
1.0
5.4444 0.0000 0.0000
-2.7222 4.7150 0.0000
0.0000 0.0000 7.0348
La As Ir O
1 2 1 8
direct
0.0000 0.0000 0.0000
0.3333 0.6667 0.2381
0.6667 0.3333 0.7619
0.0000 0.0000 0.5000
0.1554 0.3108 0.2966
0.1554 0.8446 0.2966
0.3108 0.1554 0.7034
0.3333 0.6667 0.9972
0.6667 0.3333 0.0028
0.6892 0.8446 0.2966
0.8446 0.1554 0.7034
0.8446 0.6892 0.7034
```

Principal peaks in the range 5 to 70 degrees two-theta, in order of falling intensity:
2.819 Å, intensity 100
4.715 Å, intensity 89
2.722 Å, intensity 80
3.917 Å, intensity 57
1.958 Å, intensity 49
1.590 Å, intensity 41
1.477 Å, intensity 25
2.153 Å, intensity 19
1.572 Å, intensity 15
1.361 Å, intensity 13